Starting from the GGA-PBE geometry in Alexandria, the powder diffractogram of NdNi5Sn was calculated for Cu Ka.
Kinematic intensities with the Lorentz-polarization factor, no thermal factor.

Largest 8 diffraction maxima, in order of rising 2θ, 10 to 90 degrees two-theta:
h k l  Position (°2θ)  d (Å)  I/Imax
1 0 6  34.4  2.607  58.7
1 1 0  36.5  2.465  100.0
1 0 7  38.2  2.355  37.1
1 1 4  40.9  2.205  56.8
2 0 1  42.6  2.121  44.1
1 1 6  46.0  1.973  52.6
2 1 6  64.3  1.449  27.4
2 2 0  77.5  1.232  30.6

Structure:
a = 4.9277 Å, b = 4.9277 Å, c = 19.7622 Å
α = 90.00°, β = 90.00°, γ = 120.00°
Sites, in units of the cell vectors:
Nd 0.0000 0.0000 0.0000
Nd 0.0000 0.0000 0.5000
Nd 0.3333 0.6667 0.2500
Nd 0.6667 0.3333 0.7500
Ni 0.0000 0.0000 0.2500
Ni 0.0000 0.0000 0.7500
Ni 0.1661 0.3321 0.6463
Ni 0.1661 0.3321 0.8537
Ni 0.1661 0.8339 0.6463
Ni 0.1661 0.8339 0.8537
Ni 0.3321 0.1661 0.1463
Ni 0.3321 0.1661 0.3537
Ni 0.3333 0.6667 0.5436
Ni 0.3333 0.6667 0.7500
Ni 0.3333 0.6667 0.9564
Ni 0.6667 0.3333 0.0436
Ni 0.6667 0.3333 0.2500
Ni 0.6667 0.3333 0.4564
Ni 0.6679 0.8339 0.6463
Ni 0.6679 0.8339 0.8537
Ni 0.8339 0.1661 0.1463
Ni 0.8339 0.1661 0.3537
Ni 0.8339 0.6679 0.1463
Ni 0.8339 0.6679 0.3537
Sn 0.3333 0.6667 0.0874
Sn 0.3333 0.6667 0.4126
Sn 0.6667 0.3333 0.5874
Sn 0.6667 0.3333 0.9126